[1]
Starting from the PBE geometry in the Materials Project, the PXRD pattern of Ga7Ni3 was simulated for Cu Kα X-rays.

Structural model:
Cell: 7.331 7.331 7.331 Å, 109.47 109.47 109.47°
Positions (direct):
1 Ga 0.000 0.000 0.323
2 Ga 0.000 0.000 0.677
3 Ga 0.000 0.323 0.000
4 Ga 0.000 0.677 0.000
5 Ga 0.250 0.500 0.750
6 Ga 0.250 0.750 0.500
7 Ga 0.323 0.000 0.000
8 Ga 0.323 0.323 0.323
9 Ga 0.500 0.250 0.750
10 Ga 0.500 0.750 0.250
11 Ga 0.677 0.000 0.000
12 Ga 0.677 0.677 0.677
13 Ga 0.750 0.250 0.500
14 Ga 0.750 0.500 0.250
15 Ni 0.000 0.350 0.350
16 Ni 0.000 0.650 0.650
17 Ni 0.350 0.000 0.350
18 Ni 0.350 0.350 0.000
19 Ni 0.650 0.000 0.650
20 Ni 0.650 0.650 0.000

The 10 most intense peaks (2θ = 10–90°), in order of rising 2θ:
2θ 33.5, I 31
2θ 36.8, I 40
2θ 39.8, I 43
2θ 45.5, I 100
2θ 48.1, I 12
2θ 53.0, I 17
2θ 66.2, I 18
2θ 68.3, I 13
2θ 72.3, I 12
2θ 84.0, I 32

***

[2]
Starting from the PBE geometry in the Materials Project, the PXRD pattern of GaNi2 was simulated for Cu Kα X-rays.

Structural model:
Cell: 2.705 2.705 5.840 Å, 90.00 90.00 120.00°
Positions (direct):
1 Ga 0.000 0.000 0.000
2 Ni 0.333 0.667 0.331
3 Ni 0.667 0.333 0.669

The 8 most intense peaks (2θ = 10–90°), in order of rising 2θ:
2θ 15.2, I 1
2θ 41.5, I 100
2θ 46.7, I 23
2θ 49.9, I 57
2θ 69.5, I 20
2θ 77.0, I 15
2θ 84.3, I 11
2θ 87.9, I 21

***

[3]
Starting from the PBE geometry in the Materials Project, the PXRD pattern of GaNi2 was simulated for Cu Kα X-rays.

Structural model:
Cell: 4.046 4.046 5.024 Å, 90.00 90.00 120.00°
Positions (direct):
1 Ga 0.333 0.667 0.250
2 Ga 0.667 0.333 0.750
3 Ni 0.000 0.000 0.000
4 Ni 0.000 0.000 0.500
5 Ni 0.333 0.667 0.750
6 Ni 0.667 0.333 0.250

The 9 most intense peaks (2θ = 10–90°), in order of rising 2θ:
2θ 31.1, I 1
2θ 35.7, I 8
2θ 44.4, I 90
2θ 44.8, I 100
2θ 58.6, I 11
2θ 64.9, I 27
2θ 75.7, I 6
2θ 82.3, I 26
2θ 82.6, I 15

***

[4]
Starting from the PBE geometry in the Materials Project, the PXRD pattern of Ga21Ni5 was simulated for Cu Kα X-rays.

Structural model:
Cell: 8.220 8.181 9.890 Å, 53.09 52.74 74.17°
Positions (direct):
1 Ga 0.114 0.114 0.886
2 Ga 0.116 0.163 0.204
3 Ga 0.121 0.783 0.879
4 Ga 0.158 0.474 0.206
5 Ga 0.159 0.475 0.525
6 Ga 0.163 0.116 0.517
7 Ga 0.183 0.817 0.183
8 Ga 0.192 0.470 0.808
9 Ga 0.470 0.192 0.530
10 Ga 0.474 0.158 0.162
11 Ga 0.475 0.159 0.841
12 Ga 0.479 0.800 0.521
13 Ga 0.483 0.796 0.837
14 Ga 0.500 0.753 0.247
15 Ga 0.753 0.500 0.500
16 Ga 0.783 0.121 0.217
17 Ga 0.794 0.838 0.842
18 Ga 0.796 0.483 0.884
19 Ga 0.800 0.479 0.200
20 Ga 0.817 0.183 0.817
21 Ga 0.838 0.794 0.526
22 Ni 0.151 0.802 0.519
23 Ni 0.472 0.481 0.198
24 Ni 0.481 0.472 0.849
25 Ni 0.802 0.151 0.528
26 Ni 0.820 0.820 0.180

The 10 most intense peaks (2θ = 10–90°), in order of rising 2θ:
2θ 38.5, I 29
2θ 38.8, I 32
2θ 38.9, I 6
2θ 41.9, I 100
2θ 55.8, I 16
2θ 65.4, I 6
2θ 71.9, I 12
2θ 72.3, I 13
2θ 78.5, I 6
2θ 78.7, I 6

***

[5]
Starting from the PBE geometry in the Materials Project, the PXRD pattern of GaNi10P3 was simulated for Cu Kα X-rays.

Structural model:
Cell: 7.619 7.619 9.421 Å, 90.00 90.00 120.00°
Positions (direct):
1 Ga 0.000 0.000 0.000
2 Ga 0.333 0.667 0.360
3 Ga 0.667 0.333 0.640
4 Ni 0.000 0.000 0.380
5 Ni 0.000 0.000 0.620
6 Ni 0.000 0.340 0.500
7 Ni 0.000 0.660 0.500
8 Ni 0.012 0.506 0.756
9 Ni 0.135 0.271 0.199
10 Ni 0.135 0.865 0.199
11 Ni 0.185 0.370 0.932
12 Ni 0.185 0.815 0.932
13 Ni 0.271 0.135 0.801
14 Ni 0.333 0.667 0.101
15 Ni 0.333 0.667 0.610
16 Ni 0.340 0.000 0.500
17 Ni 0.340 0.340 0.500
18 Ni 0.370 0.185 0.068
19 Ni 0.494 0.506 0.756
20 Ni 0.494 0.988 0.756
21 Ni 0.506 0.012 0.244
22 Ni 0.506 0.494 0.244
23 Ni 0.630 0.815 0.932
24 Ni 0.660 0.000 0.500
25 Ni 0.660 0.660 0.500
26 Ni 0.667 0.333 0.390
27 Ni 0.667 0.333 0.899
28 Ni 0.729 0.865 0.199
29 Ni 0.815 0.185 0.068
30 Ni 0.815 0.630 0.068
31 Ni 0.865 0.135 0.801
32 Ni 0.865 0.729 0.801
33 Ni 0.988 0.494 0.244
34 P 0.000 0.500 0.000
35 P 0.165 0.331 0.691
36 P 0.165 0.835 0.691
37 P 0.331 0.165 0.309
38 P 0.500 0.000 0.000
39 P 0.500 0.500 0.000
40 P 0.669 0.835 0.691
41 P 0.835 0.165 0.309
42 P 0.835 0.669 0.309

The 10 most intense peaks (2θ = 10–90°), in order of rising 2θ:
2θ 37.1, I 35
2θ 37.3, I 20
2θ 39.6, I 31
2θ 41.0, I 49
2θ 42.2, I 61
2θ 45.3, I 55
2θ 45.5, I 49
2θ 47.4, I 89
2θ 47.7, I 100
2θ 89.0, I 22

***

[6]
Starting from the PBE geometry in the Materials Project, the PXRD pattern of PaGaNi2 was simulated for Cu Kα X-rays.

Structural model:
Cell: 4.503 4.503 4.503 Å, 60.00 60.00 60.00°
Positions (direct):
1 Pa 0.000 0.000 0.000
2 Ga 0.500 0.500 0.500
3 Ni 0.250 0.250 0.250
4 Ni 0.750 0.750 0.750

The 10 most intense peaks (2θ = 10–90°), in order of rising 2θ:
2θ 24.2, I 30
2θ 28.0, I 19
2θ 40.0, I 100
2θ 47.3, I 16
2θ 49.6, I 6
2θ 57.9, I 17
2θ 63.7, I 7
2θ 65.6, I 8
2θ 72.7, I 34
2θ 86.4, I 11

***

[7]
Starting from the PBE geometry in the Materials Project, the PXRD pattern of Pr2Ga7Ni was simulated for Cu Kα X-rays.

Structural model:
Cell: 4.299 4.299 10.426 Å, 90.00 90.00 90.00°
Positions (direct):
1 Pr 0.000 0.000 0.000
2 Pr 0.500 0.500 0.487
3 Ga 0.000 0.000 0.382
4 Ga 0.000 0.000 0.620
5 Ga 0.000 0.500 0.234
6 Ga 0.000 0.500 0.758
7 Ga 0.500 0.000 0.234
8 Ga 0.500 0.000 0.758
9 Ga 0.500 0.500 0.913
10 Ni 0.500 0.500 0.135

The 10 most intense peaks (2θ = 10–90°), in order of rising 2θ:
2θ 29.4, I 15
2θ 33.1, I 54
2θ 34.1, I 100
2θ 42.0, I 56
2θ 48.5, I 24
2θ 54.5, I 26
2θ 61.0, I 18
2θ 61.5, I 11
2θ 66.1, I 19
2θ 71.8, I 22

***

[8]
Starting from the PBE geometry in the Materials Project, the PXRD pattern of Pr2Ga12Ni was simulated for Cu Kα X-rays.

Structural model:
Cell: 6.048 6.048 15.682 Å, 90.00 90.00 90.00°
Positions (direct):
1 Pr 0.250 0.750 0.247
2 Pr 0.250 0.750 0.753
3 Pr 0.750 0.250 0.247
4 Pr 0.750 0.250 0.753
5 Ga 0.001 0.501 0.083
6 Ga 0.001 0.999 0.917
7 Ga 0.073 0.573 0.572
8 Ga 0.073 0.927 0.428
9 Ga 0.250 0.250 0.183
10 Ga 0.250 0.250 0.340
11 Ga 0.250 0.250 0.660
12 Ga 0.250 0.250 0.817
13 Ga 0.427 0.573 0.428
14 Ga 0.427 0.927 0.572
15 Ga 0.499 0.501 0.917
16 Ga 0.499 0.999 0.083
17 Ga 0.501 0.001 0.917
18 Ga 0.501 0.499 0.083
19 Ga 0.573 0.073 0.428
20 Ga 0.573 0.427 0.572
21 Ga 0.750 0.750 0.183
22 Ga 0.750 0.750 0.340
23 Ga 0.750 0.750 0.660
24 Ga 0.750 0.750 0.817
25 Ga 0.927 0.073 0.572
26 Ga 0.927 0.427 0.428
27 Ga 0.999 0.001 0.083
28 Ga 0.999 0.499 0.917
29 Ni 0.250 0.750 0.000
30 Ni 0.750 0.250 0.000

The 10 most intense peaks (2θ = 10–90°), in order of rising 2θ:
2θ 30.9, I 52
2θ 31.7, I 100
2θ 34.3, I 15
2θ 37.6, I 29
2θ 40.5, I 47
2θ 42.3, I 61
2θ 45.9, I 22
2θ 51.3, I 14
2θ 53.3, I 27
2θ 68.5, I 20

***

[9]
Starting from the PBE geometry in the Materials Project, the PXRD pattern of PrGa2Ni was simulated for Cu Kα X-rays.

Structural model:
Cell: 9.013 9.013 4.221 Å, 90.00 90.00 152.93°
Positions (direct):
1 Pr 0.142 0.858 0.000
2 Pr 0.858 0.142 0.000
3 Ga 0.000 0.000 0.500
4 Ga 0.291 0.709 0.500
5 Ga 0.500 0.500 0.000
6 Ga 0.709 0.291 0.500
7 Ni 0.428 0.572 0.500
8 Ni 0.572 0.428 0.500

The 10 most intense peaks (2θ = 10–90°), in order of rising 2θ:
2θ 26.1, I 14
2θ 29.4, I 29
2θ 30.4, I 20
2θ 33.7, I 100
2θ 37.4, I 15
2θ 42.0, I 37
2θ 42.9, I 57
2θ 61.5, I 23
2θ 62.2, I 20
2θ 72.7, I 21

***

[10]
Starting from the PBE geometry in the Materials Project, the PXRD pattern of PrGa2Ni3 was simulated for Cu Kα X-rays.

Structural model:
Cell: 8.909 8.909 4.151 Å, 90.00 90.00 120.00°
Positions (direct):
1 Pr 0.000 0.000 0.000
2 Pr 0.333 0.667 0.500
3 Pr 0.667 0.333 0.500
4 Ga 0.000 0.274 0.500
5 Ga 0.000 0.515 0.000
6 Ga 0.274 0.000 0.500
7 Ga 0.485 0.485 0.000
8 Ga 0.515 0.000 0.000
9 Ga 0.726 0.726 0.500
10 Ni 0.000 0.708 0.500
11 Ni 0.176 0.369 0.000
12 Ni 0.193 0.824 0.000
13 Ni 0.292 0.292 0.500
14 Ni 0.369 0.176 0.000
15 Ni 0.631 0.807 0.000
16 Ni 0.708 0.000 0.500
17 Ni 0.807 0.631 0.000
18 Ni 0.824 0.193 0.000

The 10 most intense peaks (2θ = 10–90°), in order of rising 2θ:
2θ 31.7, I 74
2θ 34.9, I 41
2θ 37.7, I 100
2θ 40.5, I 67
2θ 41.3, I 80
2θ 43.6, I 58
2θ 46.3, I 43
2θ 57.0, I 20
2θ 61.0, I 39
2θ 64.4, I 18

***

[11]
Starting from the PBE geometry in the Materials Project, the PXRD pattern of PuGaNi was simulated for Cu Kα X-rays.

Structural model:
Cell: 6.842 6.842 3.936 Å, 90.00 90.00 120.00°
Positions (direct):
1 Pu 0.000 0.418 0.000
2 Pu 0.418 0.000 0.000
3 Pu 0.582 0.582 0.000
4 Ga 0.000 0.760 0.500
5 Ga 0.240 0.240 0.500
6 Ga 0.760 0.000 0.500
7 Ni 0.000 0.000 0.000
8 Ni 0.333 0.667 0.500
9 Ni 0.667 0.333 0.500

The 10 most intense peaks (2θ = 10–90°), in order of rising 2θ:
2θ 22.6, I 20
2θ 26.0, I 28
2θ 30.2, I 28
2θ 34.7, I 100
2θ 38.0, I 88
2θ 40.3, I 42
2θ 46.1, I 23
2θ 56.0, I 23
2θ 61.1, I 40
2θ 62.9, I 23

***

[12]
Starting from the PBE geometry in the Materials Project, the PXRD pattern of Ga2NiS4 was simulated for Cu Kα X-rays.

Structural model:
Cell: 3.649 3.649 12.527 Å, 90.00 90.00 120.00°
Positions (direct):
1 Ga 0.333 0.667 0.270
2 Ga 0.667 0.333 0.730
3 Ni 0.000 0.000 0.000
4 S 0.333 0.667 0.093
5 S 0.333 0.667 0.646
6 S 0.667 0.333 0.354
7 S 0.667 0.333 0.907

The 10 most intense peaks (2θ = 10–90°), in order of rising 2θ:
2θ 14.1, I 22
2θ 21.3, I 59
2θ 29.1, I 91
2θ 31.7, I 100
2θ 35.6, I 22
2θ 46.2, I 69
2θ 50.0, I 66
2θ 52.5, I 36
2θ 54.9, I 24
2θ 70.5, I 18

***

Number 4 is which compound? Ga21Ni5